For MnTePb, a cell relaxed with GGA-PBE gives the computed X-ray diffraction stick pattern in this record (Cu Kα (weighted mean of Kα1 and Kα2)).

Structure:
a = 4.5947 Å, b = 4.5947 Å, c = 4.3230 Å
α = 90.00°, β = 90.00°, γ = 120.00°
Sites, in units of the cell vectors:
Mn  0.0000  0.0000  0.0000
Te  0.3333  0.6667  0.9973
Pb  0.6667  0.3333  0.4970

Peak list (12 most intense, 10 to 90 degrees two-theta, by intensity)
2theta	Rel. int.
30.53	100
39.21	42
58.64	26
50.50	25
65.74	23
22.34	19
41.79	12
69.36	10
85.99	9
71.07	7
82.69	6
47.89	6

For Mn2ZnPb, a cell relaxed with GGA-PBE gives the computed X-ray diffraction stick pattern in this record (Cu Kα (weighted mean of Kα1 and Kα2)).

Structure:
a = 3.1510 Å, b = 3.4151 Å, c = 6.5661 Å
α = 90.00°, β = 90.00°, γ = 90.00°
Sites, in units of the cell vectors:
Mn  0.0000  0.0000  0.2059
Mn  0.0000  0.0000  0.7941
Zn  0.5000  0.5000  0.0000
Pb  0.5000  0.5000  0.5000

Peak list (12 most intense, 10 to 90 degrees two-theta, by intensity)
2theta	Rel. int.
38.89	100
38.02	98
39.65	87
13.49	40
29.48	37
68.76	33
31.49	31
72.00	29
27.16	27
41.29	25
48.08	25
70.29	24

For Mn7Pd9, a cell relaxed with GGA-PBE gives the computed X-ray diffraction stick pattern in this record (Cu Kα (weighted mean of Kα1 and Kα2)).

Structure:
a = 6.8461 Å, b = 6.8461 Å, c = 6.8461 Å
α = 105.29°, β = 105.29°, γ = 118.20°
Sites, in units of the cell vectors:
Mn  0.0000  0.0000  0.0000
Mn  0.0000  0.5000  0.5000
Mn  0.2650  0.2650  0.5301
Mn  0.2650  0.7350  0.0000
Mn  0.5000  0.0000  0.5000
Mn  0.7350  0.2650  0.0000
Mn  0.7350  0.7350  0.4699
Pd  0.0191  0.7672  0.2519
Pd  0.2328  0.4847  0.2519
Pd  0.2328  0.9809  0.7481
Pd  0.4847  0.2328  0.2519
Pd  0.5000  0.5000  0.0000
Pd  0.5153  0.7672  0.7481
Pd  0.7672  0.0191  0.2519
Pd  0.7672  0.5153  0.7481
Pd  0.9809  0.2328  0.7481

Peak list (12 most intense, 10 to 90 degrees two-theta, by intensity)
2theta	Rel. int.
40.00	100
43.58	39
77.59	25
70.14	16
63.33	12
52.02	10
86.32	9
30.43	8
25.33	5
51.07	4
69.34	3
41.23	3

For MnPd5, a cell relaxed with GGA-PBE gives the computed X-ray diffraction stick pattern in this record (Cu Kα (weighted mean of Kα1 and Kα2)).

Structure:
a = 6.7488 Å, b = 6.7488 Å, c = 6.7488 Å
α = 126.09°, β = 126.09°, γ = 79.73°
Sites, in units of the cell vectors:
Mn  0.2500  0.2500  0.0000
Mn  0.7500  0.7500  0.0000
Pd  0.0000  0.0000  0.0000
Pd  0.0138  0.5138  0.8049
Pd  0.2089  0.0138  0.5000
Pd  0.2911  0.7911  0.8049
Pd  0.4862  0.2911  0.5000
Pd  0.5000  0.5000  0.0000
Pd  0.5138  0.7089  0.5000
Pd  0.7089  0.2089  0.1951
Pd  0.7911  0.9862  0.5000
Pd  0.9862  0.4862  0.1951

Peak list (12 most intense, 10 to 90 degrees two-theta, by intensity)
2theta	Rel. int.
33.89	100
42.14	98
46.97	70
40.60	58
45.91	41
75.45	30
71.66	27
72.63	24
34.63	15
41.76	14
26.85	12
68.87	10

For Mn11Pd21, a cell relaxed with GGA-PBE gives the computed X-ray diffraction stick pattern in this record (Cu Kα (weighted mean of Kα1 and Kα2)).

Structure:
a = 8.0588 Å, b = 8.0588 Å, c = 7.4605 Å
α = 90.00°, β = 90.00°, γ = 90.00°
Sites, in units of the cell vectors:
Mn  0.0000  0.0000  0.0000
Mn  0.0000  0.5000  0.5000
Mn  0.2461  0.2461  0.5000
Mn  0.2461  0.7539  0.5000
Mn  0.2598  0.2598  0.0000
Mn  0.2598  0.7402  0.0000
Mn  0.5000  0.0000  0.5000
Mn  0.7402  0.2598  0.0000
Mn  0.7402  0.7402  0.0000
Mn  0.7539  0.2461  0.5000
Mn  0.7539  0.7539  0.5000
Pd  0.0000  0.0000  0.5000
Pd  0.0000  0.2492  0.2457
Pd  0.0000  0.2492  0.7543
Pd  0.0000  0.5000  0.0000
Pd  0.0000  0.7508  0.2457
Pd  0.0000  0.7508  0.7543
Pd  0.2466  0.5000  0.2598
Pd  0.2466  0.5000  0.7402
Pd  0.2492  0.0000  0.2457
Pd  0.2492  0.0000  0.7543
Pd  0.5000  0.0000  0.0000
Pd  0.5000  0.2466  0.2598
Pd  0.5000  0.2466  0.7402
Pd  0.5000  0.5000  0.0000
Pd  0.5000  0.5000  0.5000
Pd  0.5000  0.7534  0.2598
Pd  0.5000  0.7534  0.7402
Pd  0.7508  0.0000  0.2457
Pd  0.7508  0.0000  0.7543
Pd  0.7534  0.5000  0.2598
Pd  0.7534  0.5000  0.7402

Peak list (12 most intense, 10 to 90 degrees two-theta, by intensity)
2theta	Rel. int.
39.81	100
45.00	35
79.49	24
68.56	19
48.83	13
65.52	11
85.14	10
85.83	10
31.40	4
23.85	4
51.56	2
22.06	2

For Mn5Pd6, a cell relaxed with GGA-PBE gives the computed X-ray diffraction stick pattern in this record (Cu Kα (weighted mean of Kα1 and Kα2)).

Structure:
a = 7.4345 Å, b = 7.4345 Å, c = 7.4345 Å
α = 146.57°, β = 128.89°, γ = 62.46°
Sites, in units of the cell vectors:
Mn  0.0000  0.0000  0.0000
Mn  0.1625  0.6625  0.5000
Mn  0.3282  0.3282  0.0000
Mn  0.6718  0.6718  0.0000
Mn  0.8375  0.3375  0.5000
Pd  0.0946  0.8365  0.2582
Pd  0.2646  0.5000  0.7646
Pd  0.4217  0.1635  0.2582
Pd  0.5783  0.8365  0.7418
Pd  0.7354  0.5000  0.2354
Pd  0.9054  0.1635  0.7418

Peak list (12 most intense, 10 to 90 degrees two-theta, by intensity)
2theta	Rel. int.
41.12	100
42.27	23
42.67	22
29.68	20
76.51	15
61.62	14
77.06	14
27.82	11
89.25	10
57.46	9
73.87	8
74.15	8

For Mn3Pd8, a cell relaxed with GGA-PBE gives the computed X-ray diffraction stick pattern in this record (Cu Kα (weighted mean of Kα1 and Kα2)).

Structure:
a = 5.7437 Å, b = 5.7437 Å, c = 5.7437 Å
α = 92.02°, β = 92.02°, γ = 92.02°
Sites, in units of the cell vectors:
Mn  0.0000  0.5000  0.5000
Mn  0.5000  0.0000  0.5000
Mn  0.5000  0.5000  0.0000
Pd  0.0925  0.6833  0.8915
Pd  0.1085  0.9075  0.3167
Pd  0.3167  0.1085  0.9075
Pd  0.3625  0.3625  0.3625
Pd  0.6375  0.6375  0.6375
Pd  0.6833  0.8915  0.0925
Pd  0.8915  0.0925  0.6833
Pd  0.9075  0.3167  0.1085

Peak list (12 most intense, 10 to 90 degrees two-theta, by intensity)
2theta	Rel. int.
34.45	100
38.20	68
39.64	44
52.75	42
35.50	33
59.15	22
75.12	22
77.69	13
46.73	12
78.20	11
49.71	10
59.03	9

For MnPd8Pt6, a cell relaxed with GGA-PBE gives the computed X-ray diffraction stick pattern in this record (Cu Kα (weighted mean of Kα1 and Kα2)).

Structure:
a = 7.4096 Å, b = 7.4096 Å, c = 5.3480 Å
α = 90.00°, β = 90.00°, γ = 120.00°
Sites, in units of the cell vectors:
Mn  0.0000  0.0000  0.0000
Pd  0.0314  0.6810  0.6048
Pd  0.3190  0.3503  0.6048
Pd  0.3333  0.6667  0.2359
Pd  0.3503  0.0314  0.3952
Pd  0.6497  0.9686  0.6048
Pd  0.6667  0.3333  0.7641
Pd  0.6810  0.6497  0.3952
Pd  0.9686  0.3190  0.3952
Pt  0.0299  0.3518  0.8922
Pt  0.3219  0.9701  0.8922
Pt  0.3518  0.3219  0.1078
Pt  0.6482  0.6781  0.8922
Pt  0.6781  0.0299  0.1078
Pt  0.9701  0.6482  0.1078

Peak list (12 most intense, 10 to 90 degrees two-theta, by intensity)
2theta	Rel. int.
41.65	100
42.25	77
24.02	33
60.83	28
76.85	24
40.85	17
16.58	14
32.54	13
75.61	11
77.26	10
29.33	9
65.80	9